This entry pairs a crystal structure of CsCrSnF6 with its simulated powder X-ray diffraction pattern. Radiation: copper Kα. Structure: a structure optimized by DFT (PBE+U).
Kinematic intensities with the Lorentz-polarization factor, no thermal factor.

Structure:
```
data_CsCrSnF6
_cell_length_a 5.798
_cell_length_b 5.823
_cell_length_c 5.852
_cell_angle_alpha 61.38
_cell_angle_beta 89.94
_cell_angle_gamma 89.86
_space_group_name_H-M_alt 'P 1'
_space_group_IT_number 1
loop_
_space_group_symop_operation_xyz
'x,y,z'
loop_
_atom_site_label
_atom_site_type_symbol
_atom_site_fract_x
_atom_site_fract_y
_atom_site_fract_z
Cs1 Cs 0.000 0.000 0.000
Cr1 Cr 0.585 0.679 0.633
Sn1 Sn 0.505 0.340 0.352
F1 F 0.365 0.868 0.719
F2 F 0.402 0.365 0.746
F3 F 0.452 0.795 0.291
F4 F 0.737 0.533 0.975
F5 F 0.771 0.004 0.490
F6 F 0.794 0.484 0.508
```

Main lines, sorted by position (2θ = 10–90°):
h k l	2θ/deg	I (rel.)
1 0 -1	23.2	100.0
1 1 1	23.4	32.9
0 1 -1	30.0	16.8
0 1 2	30.6	17.2
0 2 1	30.7	15.5
1 2 0	38.5	18.1
-1 2 2	39.1	16.9
2 2 1	44.0	23.0